Record 1
This entry pairs a crystal structure of RbV3CdCu4O13 with its calculated powder diffraction line list. Radiation: Cu Kα X-rays. Structure: a PBE+U-relaxed structure.
No peak broadening, texture or thermal motion is included.

Peak list (12 most intense, 2θ from 5° to 70°, most intense first)
| two_theta | d_spacing | intensity |
| --- | --- | --- |
| 31.52 | 2.838 | 100 |
| 31.87 | 2.808 | 93 |
| 28.40 | 3.143 | 80 |
| 28.68 | 3.113 | 70 |
| 43.96 | 2.060 | 55 |
| 33.42 | 2.681 | 45 |
| 32.89 | 2.723 | 44 |
| 17.61 | 5.036 | 38 |
| 58.78 | 1.571 | 36 |
| 37.31 | 2.410 | 33 |
| 36.12 | 2.487 | 32 |
| 33.08 | 2.708 | 32 |

Cell lengths 8.504, 6.284, 11.018 Å; angles 90.00, 98.02, 90.00 degrees
Fractional coordinates of all 44 atoms:
Rb 0.012 0.250 0.393
Rb 0.988 0.750 0.607
V 0.034 0.750 0.203
V 0.320 0.750 0.882
V 0.370 0.750 0.498
V 0.630 0.250 0.502
V 0.680 0.250 0.118
V 0.966 0.250 0.797
Cd 0.305 0.250 0.642
Cd 0.695 0.750 0.358
Cu 0.104 0.250 0.105
Cu 0.356 0.250 0.939
Cu 0.390 0.006 0.226
Cu 0.390 0.494 0.226
Cu 0.610 0.506 0.774
Cu 0.610 0.994 0.774
Cu 0.644 0.750 0.061
Cu 0.896 0.750 0.895
O 0.051 0.250 0.666
O 0.120 0.750 0.885
O 0.123 0.250 0.922
O 0.156 0.521 0.208
O 0.156 0.979 0.208
O 0.255 0.532 0.518
O 0.255 0.968 0.518
O 0.341 0.250 0.117
O 0.377 0.512 0.808
O 0.377 0.988 0.808
O 0.417 0.750 0.034
O 0.427 0.750 0.334
O 0.469 0.250 0.390
O 0.531 0.750 0.610
O 0.573 0.250 0.666
O 0.583 0.250 0.966
O 0.623 0.012 0.192
O 0.623 0.488 0.192
O 0.659 0.750 0.883
O 0.745 0.032 0.482
O 0.745 0.468 0.482
O 0.844 0.021 0.792
O 0.844 0.479 0.792
O 0.877 0.750 0.078
O 0.880 0.250 0.115
O 0.949 0.750 0.334



Record 2
This entry pairs a crystal structure of SrMoO4 with its calculated powder diffraction line list. Radiation: Cu Kα X-rays. Structure: a PBE+U-relaxed structure.
No peak broadening, texture or thermal motion is included.

Peak list (12 most intense, 2θ from 5° to 70°, most intense first)
| two_theta | d_spacing | intensity |
| --- | --- | --- |
| 27.27 | 3.271 | 100 |
| 50.55 | 1.805 | 17 |
| 44.27 | 2.046 | 15 |
| 44.54 | 2.034 | 15 |
| 29.16 | 3.062 | 14 |
| 54.93 | 1.672 | 13 |
| 55.40 | 1.659 | 13 |
| 46.97 | 1.934 | 12 |
| 56.25 | 1.635 | 12 |
| 32.56 | 2.750 | 10 |
| 32.91 | 2.722 | 9 |
| 37.40 | 2.404 | 2 |

Cell lengths 7.243, 7.243, 5.443 Å; angles 112.04, 112.04, 115.47 degrees
Fractional coordinates of all 12 atoms:
Sr 0.126 0.874 0.750
Sr 0.874 0.126 0.250
Mo 0.378 0.622 0.250
Mo 0.622 0.378 0.750
O 0.160 0.567 0.353
O 0.220 0.304 0.871
O 0.304 0.220 0.371
O 0.433 0.840 0.147
O 0.567 0.160 0.853
O 0.696 0.780 0.629
O 0.780 0.696 0.129
O 0.840 0.433 0.647



Record 3
This entry pairs a crystal structure of CrCdO4 with its calculated powder diffraction line list. Radiation: Cu Kα X-rays. Structure: a PBE+U-relaxed structure.
No peak broadening, texture or thermal motion is included.

Peak list (12 most intense, 2θ from 5° to 70°, most intense first)
| two_theta | d_spacing | intensity |
| --- | --- | --- |
| 31.21 | 2.866 | 100 |
| 18.34 | 4.838 | 50 |
| 33.85 | 2.648 | 48 |
| 22.22 | 4.001 | 35 |
| 19.84 | 4.475 | 34 |
| 31.10 | 2.876 | 32 |
| 58.34 | 1.582 | 28 |
| 45.34 | 2.000 | 27 |
| 40.32 | 2.237 | 23 |
| 23.49 | 3.788 | 22 |
| 48.04 | 1.894 | 17 |
| 55.41 | 1.658 | 17 |

Cell lengths 5.319, 5.319, 7.113 Å; angles 90.00, 90.00, 114.55 degrees
Fractional coordinates of all 12 atoms:
Cr 0.143 0.857 0.750
Cr 0.857 0.143 0.250
Cd 0.500 0.500 0.000
Cd 0.500 0.500 0.500
O 0.209 0.278 0.250
O 0.248 0.752 0.561
O 0.248 0.752 0.939
O 0.278 0.209 0.750
O 0.722 0.791 0.250
O 0.752 0.248 0.061
O 0.752 0.248 0.439
O 0.791 0.722 0.750



Record 4
This entry pairs a crystal structure of In2Co2O7 with its calculated powder diffraction line list. Radiation: Cu Kα X-rays. Structure: a PBE+U-relaxed structure.
No peak broadening, texture or thermal motion is included.

Peak list (11 most intense, 2θ from 5° to 70°, most intense first)
| two_theta | d_spacing | intensity |
| --- | --- | --- |
| 31.89 | 2.806 | 100 |
| 53.31 | 1.719 | 47 |
| 63.47 | 1.466 | 38 |
| 36.99 | 2.430 | 27 |
| 40.44 | 2.230 | 11 |
| 66.65 | 1.403 | 8 |
| 15.79 | 5.613 | 8 |
| 48.67 | 1.871 | 4 |
| 30.50 | 2.931 | 4 |
| 55.96 | 1.643 | 3 |
| 68.99 | 1.361 | 1 |

Cell lengths 6.874, 6.874, 6.874 Å; angles 60.00, 60.00, 60.00 degrees
Fractional coordinates of all 22 atoms:
In 0.000 0.000 0.000
In 0.000 0.000 0.500
In 0.000 0.500 0.000
In 0.500 0.000 0.000
Co 0.000 0.500 0.500
Co 0.500 0.000 0.500
Co 0.500 0.500 0.000
Co 0.500 0.500 0.500
O 0.125 0.125 0.125
O 0.171 0.171 0.579
O 0.171 0.579 0.171
O 0.171 0.579 0.579
O 0.421 0.421 0.829
O 0.421 0.829 0.421
O 0.421 0.829 0.829
O 0.579 0.171 0.171
O 0.579 0.171 0.579
O 0.579 0.579 0.171
O 0.829 0.421 0.421
O 0.829 0.421 0.829
O 0.829 0.829 0.421
O 0.875 0.875 0.875



Record 5
This entry pairs a crystal structure of La4Ni3WO12 with its calculated powder diffraction line list. Radiation: Cu Kα X-rays. Structure: a PBE+U-relaxed structure.
No peak broadening, texture or thermal motion is included.

Peak list (12 most intense, 2θ from 5° to 70°, most intense first)
| two_theta | d_spacing | intensity |
| --- | --- | --- |
| 31.74 | 2.819 | 100 |
| 32.17 | 2.782 | 53 |
| 57.08 | 1.613 | 38 |
| 46.14 | 1.967 | 32 |
| 66.30 | 1.410 | 15 |
| 56.26 | 1.635 | 15 |
| 25.17 | 3.538 | 14 |
| 44.85 | 2.021 | 13 |
| 67.30 | 1.391 | 10 |
| 46.94 | 1.936 | 9 |
| 39.31 | 2.292 | 9 |
| 62.06 | 1.495 | 7 |

Cell lengths 5.565, 5.565, 8.084 Å; angles 90.00, 90.00, 90.00 degrees
Fractional coordinates of all 20 atoms:
La 0.000 0.500 0.219
La 0.000 0.500 0.781
La 0.500 0.000 0.219
La 0.500 0.000 0.781
Ni 0.000 0.000 0.000
Ni 0.000 0.000 0.500
Ni 0.500 0.500 0.000
W 0.500 0.500 0.500
O 0.000 0.000 0.252
O 0.000 0.000 0.748
O 0.252 0.252 0.000
O 0.252 0.748 0.000
O 0.257 0.257 0.500
O 0.257 0.743 0.500
O 0.500 0.500 0.257
O 0.500 0.500 0.743
O 0.743 0.257 0.500
O 0.743 0.743 0.500
O 0.748 0.252 0.000
O 0.748 0.748 0.000



Record 6
This entry pairs a crystal structure of Sr2MnSO3 with its calculated powder diffraction line list. Radiation: Cu Kα X-rays. Structure: a PBE+U-relaxed structure.
No peak broadening, texture or thermal motion is included.

Peak list (12 most intense, 2θ from 5° to 70°, most intense first)
| two_theta | d_spacing | intensity |
| --- | --- | --- |
| 31.60 | 2.831 | 100 |
| 33.22 | 2.697 | 90 |
| 6.06 | 14.596 | 61 |
| 45.30 | 2.002 | 56 |
| 12.13 | 7.298 | 44 |
| 57.32 | 1.608 | 37 |
| 28.88 | 3.092 | 30 |
| 40.32 | 2.237 | 30 |
| 54.65 | 1.680 | 27 |
| 64.53 | 1.444 | 18 |
| 65.99 | 1.416 | 17 |
| 43.40 | 2.085 | 16 |

Cell lengths 4.004, 4.004, 14.596 Å; angles 90.00, 90.00, 90.00 degrees
Fractional coordinates of all 14 atoms:
Sr 0.250 0.250 0.091
Sr 0.250 0.250 0.336
Sr 0.750 0.750 0.664
Sr 0.750 0.750 0.909
Mn 0.250 0.250 0.792
Mn 0.750 0.750 0.208
S 0.250 0.250 0.617
S 0.750 0.750 0.383
O 0.250 0.250 0.924
O 0.250 0.750 0.213
O 0.250 0.750 0.787
O 0.750 0.250 0.213
O 0.750 0.250 0.787
O 0.750 0.750 0.076



Record 7
This entry pairs a crystal structure of CrC6O6 with its calculated powder diffraction line list. Radiation: Cu Kα X-rays. Structure: a PBE+U-relaxed structure.
No peak broadening, texture or thermal motion is included.

Peak list (12 most intense, 2θ from 5° to 70°, most intense first)
| two_theta | d_spacing | intensity |
| --- | --- | --- |
| 16.46 | 5.386 | 100 |
| 15.52 | 5.709 | 78 |
| 17.21 | 5.152 | 78 |
| 30.84 | 2.899 | 72 |
| 15.35 | 5.771 | 51 |
| 35.04 | 2.561 | 33 |
| 29.28 | 3.051 | 27 |
| 30.99 | 2.886 | 25 |
| 21.88 | 4.062 | 24 |
| 27.59 | 3.233 | 19 |
| 35.17 | 2.551 | 17 |
| 30.21 | 2.958 | 16 |

Cell lengths 12.213, 11.433, 6.549 Å; angles 90.00, 90.00, 90.00 degrees
Fractional coordinates of all 52 atoms:
Cr 0.128 0.250 0.065
Cr 0.372 0.750 0.565
Cr 0.628 0.250 0.435
Cr 0.872 0.750 0.935
C 0.013 0.750 0.343
C 0.028 0.555 0.747
C 0.028 0.945 0.747
C 0.221 0.552 0.371
C 0.221 0.948 0.371
C 0.227 0.750 0.965
C 0.273 0.250 0.465
C 0.279 0.052 0.871
C 0.279 0.448 0.871
C 0.472 0.055 0.247
C 0.472 0.445 0.247
C 0.487 0.250 0.843
C 0.513 0.750 0.157
C 0.528 0.555 0.753
C 0.528 0.945 0.753
C 0.721 0.552 0.129
C 0.721 0.948 0.129
C 0.727 0.750 0.535
C 0.773 0.250 0.035
C 0.779 0.052 0.629
C 0.779 0.448 0.629
C 0.972 0.055 0.253
C 0.972 0.445 0.253
C 0.987 0.250 0.657
O 0.029 0.126 0.184
O 0.029 0.374 0.184
O 0.039 0.250 0.805
O 0.218 0.250 0.319
O 0.225 0.125 0.945
O 0.225 0.375 0.945
O 0.275 0.625 0.445
O 0.275 0.875 0.445
O 0.282 0.750 0.819
O 0.461 0.750 0.305
O 0.471 0.626 0.684
O 0.471 0.874 0.684
O 0.529 0.126 0.316
O 0.529 0.374 0.316
O 0.539 0.250 0.695
O 0.718 0.250 0.181
O 0.725 0.125 0.555
O 0.725 0.375 0.555
O 0.775 0.625 0.055
O 0.775 0.875 0.055
O 0.782 0.750 0.681
O 0.961 0.750 0.195
O 0.971 0.626 0.816
O 0.971 0.874 0.816



Record 8
This entry pairs a crystal structure of NaSrPrWO6 with its calculated powder diffraction line list. Radiation: Cu Kα X-rays. Structure: a PBE+U-relaxed structure.
No peak broadening, texture or thermal motion is included.

Peak list (12 most intense, 2θ from 5° to 70°, most intense first)
| two_theta | d_spacing | intensity |
| --- | --- | --- |
| 29.89 | 2.989 | 100 |
| 53.06 | 1.726 | 45 |
| 21.01 | 4.228 | 41 |
| 42.75 | 2.115 | 19 |
| 62.10 | 1.495 | 17 |
| 48.12 | 1.891 | 15 |
| 42.83 | 2.111 | 9 |
| 66.31 | 1.410 | 5 |
| 14.81 | 5.982 | 5 |
| 36.82 | 2.441 | 4 |
| 18.17 | 4.882 | 4 |
| 48.18 | 1.889 | 3 |

Cell lengths 8.445, 8.454, 8.467 Å; angles 90.00, 90.00, 90.00 degrees
Fractional coordinates of all 40 atoms:
Na 0.250 0.250 0.250
Na 0.250 0.750 0.750
Na 0.750 0.250 0.250
Na 0.750 0.750 0.750
Sr 0.250 0.250 0.750
Sr 0.250 0.750 0.250
Sr 0.750 0.250 0.750
Sr 0.750 0.750 0.250
Pr 0.000 0.000 0.000
Pr 0.000 0.500 0.500
Pr 0.500 0.000 0.500
Pr 0.500 0.500 0.000
W 0.000 0.000 0.500
W 0.000 0.500 0.000
W 0.500 0.000 0.000
W 0.500 0.500 0.500
O 0.035 0.041 0.727
O 0.035 0.459 0.773
O 0.043 0.224 0.463
O 0.043 0.276 0.037
O 0.225 0.548 0.029
O 0.225 0.952 0.471
O 0.275 0.548 0.471
O 0.275 0.952 0.029
O 0.457 0.224 0.037
O 0.457 0.276 0.463
O 0.465 0.041 0.773
O 0.465 0.459 0.727
O 0.535 0.541 0.273
O 0.535 0.959 0.227
O 0.543 0.724 0.537
O 0.543 0.776 0.963
O 0.725 0.048 0.971
O 0.725 0.452 0.529
O 0.775 0.048 0.529
O 0.775 0.452 0.971
O 0.957 0.724 0.963
O 0.957 0.776 0.537
O 0.965 0.541 0.227
O 0.965 0.959 0.273